The following is a calculated X-ray powder pattern of SrGdGaSe3. It was derived from the PBE geometry in OQMD, using CuKα.
Peak positions follow from Bragg's law for the DFT cell and can differ from measured ones.

Cell and atoms:
```
SrGdGaSe3
1.0
2.131 -7.389 0.000
2.131 7.389 0.000
0.000 0.000 10.302
Sr Gd Ga Se
2 2 2 6
Direct
0.238 0.762 0.750
0.762 0.238 0.250
0.000 0.000 0.000
0.000 0.000 0.500
0.486 0.514 0.250
0.514 0.486 0.750
0.109 0.891 0.250
0.362 0.638 0.050
0.362 0.638 0.450
0.638 0.362 0.550
0.638 0.362 0.950
0.891 0.109 0.750
```

Largest 10 diffraction maxima, in order of rising 2θ, 10 to 90 degrees two-theta:
2θ (°), Rel. int.
11.98, 28
21.02, 17
28.66, 15
29.03, 36
32.78, 100
34.83, 27
40.60, 14
41.09, 34
42.42, 24
56.01, 14